# 1
Calculated powder diffractogram of Li2CaSm2Pb2 for CuKα, from a GGA-PBE-relaxed structure.
Neutral-atom scattering factors, no anomalous dispersion.

Most intense lines, 15 to 90 degrees two-theta, low angle first:
Position (°2θ)  Rel. int.
21.19  29.7
21.89  78.5
30.69  52.9
33.14  100.0
36.70  90.1
50.28  32.4
62.45  41.9
63.84  31.2

```
7
Lattice="2.4488 1.4138 9.3529 -2.4488 1.4138 9.3529 0.0000 -2.8276 9.3529" Properties=species:S:1:pos:R:3 pbc="T T T"
Li 0.0000 0.0000 2.7004
Li 0.0000 0.0000 25.3583
Ca 0.0000 0.0000 14.0294
Sm 0.0000 0.0000 10.4113
Sm 0.0000 0.0000 17.6474
Pb 0.0000 0.0000 6.7454
Pb 0.0000 0.0000 21.3133
```

***

# 2
Calculated powder diffractogram of Li2CaTb2Pb2 for CuKα, from a GGA-PBE-relaxed structure.
Neutral-atom scattering factors, no anomalous dispersion.

Most intense lines, 15 to 90 degrees two-theta, low angle first:
Position (°2θ)  Rel. int.
21.29  31.7
22.02  76.2
31.00  49.1
33.51  100.0
36.89  89.4
50.68  31.4
63.24  24.8
64.31  30.9

```
7
Lattice="2.4369 1.4069 9.2194 -2.4369 1.4069 9.2194 0.0000 -2.8139 9.2194" Properties=species:S:1:pos:R:3 pbc="T T T"
Li 0.0000 0.0000 2.5542
Li 0.0000 0.0000 25.1039
Ca 0.0000 0.0000 13.8290
Tb 0.0000 0.0000 10.2434
Tb 0.0000 0.0000 17.4147
Pb 0.0000 0.0000 6.6860
Pb 0.0000 0.0000 20.9721
```

***

# 3
Calculated powder diffractogram of LiCa4Pd3 for CuKα, from a GGA-PBE-relaxed structure.
Neutral-atom scattering factors, no anomalous dispersion.

Most intense lines, 15 to 90 degrees two-theta, low angle first:
Position (°2θ)  Rel. int.
23.33  72.8
24.57  84.5
32.24  47.0
35.02  59.2
35.13  54.1
35.94  100.0
45.49  46.8
46.26  60.9

```
16
Lattice="-5.7295 5.7295 2.8535 5.7295 -5.7295 2.8535 5.7295 5.7295 -2.8535" Properties=species:S:1:pos:R:3 pbc="T T T"
Li 5.7295 0.0000 1.4268
Li 0.0000 5.7295 1.4268
Ca 8.9609 0.9456 0.0000
Ca 0.9456 2.4981 0.0000
Ca 6.6751 3.2314 0.0000
Ca 3.2314 4.7839 0.0000
Ca 2.4981 0.9456 2.8535
Ca -0.9456 2.4981 2.8535
Ca 4.7839 3.2314 2.8535
Ca -3.2314 4.7839 2.8535
Pd 3.9449 1.7846 0.0000
Pd 0.0000 0.0000 1.4268
Pd 3.9449 -1.7846 2.8535
Pd 1.7846 7.5142 0.0000
Pd 0.0000 0.0000 4.2803
Pd 1.7846 3.9449 2.8535
```

***

# 4
Calculated powder diffractogram of LiCaPd for CuKα, from a GGA-PBE-relaxed structure.
Neutral-atom scattering factors, no anomalous dispersion.

Most intense lines, 15 to 90 degrees two-theta, low angle first:
Position (°2θ)  Rel. int.
20.36  76.1
22.95  48.2
33.97  35.7
37.08  100.0
38.63  31.1
38.80  45.2
41.40  24.3
52.38  21.0

```
6
Lattice="-2.6387 2.9169 3.8759 2.6387 -2.9169 3.8759 2.6387 2.9169 -3.8759" Properties=species:S:1:pos:R:3 pbc="T T T"
Li -1.3194 1.4585 1.9379
Li 1.3194 1.4585 1.9379
Ca 2.6387 1.4585 -0.9903
Ca 0.0000 1.4585 4.8662
Pd 0.0000 0.0000 0.0000
Pd 0.0000 2.9169 0.0000
```

***

# 5
Calculated powder diffractogram of Li4Ca5Pd4 for CuKα, from a GGA-PBE-relaxed structure.
Neutral-atom scattering factors, no anomalous dispersion.

Most intense lines, 15 to 90 degrees two-theta, low angle first:
Position (°2θ)  Rel. int.
21.47  64.1
22.34  43.9
24.04  44.3
27.09  100.0
31.17  47.7
34.82  79.9
38.16  98.0
45.15  45.9

```
13
Lattice="-5.8543 5.8543 2.1161 5.8543 -5.8543 2.1161 5.8543 5.8543 -2.1161" Properties=species:S:1:pos:R:3 pbc="T T T"
Li 4.6300 0.8874 0.0000
Li 4.9669 -1.2243 2.1161
Li 0.8874 7.0786 0.0000
Li 1.2243 4.9669 2.1161
Ca 9.2482 1.5101 0.0000
Ca 1.5101 2.4604 0.0000
Ca 0.0000 0.0000 2.1161
Ca 4.3442 3.3939 2.1161
Ca -3.3939 4.3442 2.1161
Pd 6.5551 2.9140 0.0000
Pd 2.9140 5.1534 0.0000
Pd 2.9402 0.7009 2.1161
Pd -0.7009 2.9402 2.1161
```

***

# 6
Calculated powder diffractogram of Li2Ca3Pd5 for CuKα, from a GGA-PBE-relaxed structure.
Neutral-atom scattering factors, no anomalous dispersion.

Most intense lines, 15 to 90 degrees two-theta, low angle first:
Position (°2θ)  Rel. int.
23.05  82.7
30.86  62.6
34.78  34.9
37.19  100.0
37.81  67.9
40.57  51.9
41.15  36.9
47.10  33.5

```
20
Lattice="9.8110 0.0000 0.0000 0.0000 9.8110 0.0000 0.0000 0.0000 3.8587" Properties=species:S:1:pos:R:3 pbc="T T T"
Li 1.1607 3.7448 0.0000
Li 3.7448 8.6504 0.0000
Li 6.0662 1.1607 0.0000
Li 8.6504 6.0662 0.0000
Ca 0.0000 0.0000 0.0000
Ca 1.7347 6.6402 0.0000
Ca 3.1708 1.7347 0.0000
Ca 4.9055 4.9055 0.0000
Ca 6.6402 8.0763 0.0000
Ca 8.0763 3.1708 0.0000
Pd 0.0000 4.9055 1.9293
Pd 0.6757 2.1343 1.9293
Pd 2.1343 9.1353 1.9293
Pd 2.7712 4.2298 1.9293
Pd 4.2298 7.0399 1.9293
Pd 4.9055 0.0000 1.9293
Pd 5.5812 2.7712 1.9293
Pd 7.0399 5.5812 1.9293
Pd 7.6767 0.6757 1.9293
Pd 9.1353 7.6767 1.9293
```

***

# 7
Calculated powder diffractogram of Li6Ca2Pd3 for CuKα, from a GGA-PBE-relaxed structure.
Neutral-atom scattering factors, no anomalous dispersion.

Most intense lines, 15 to 90 degrees two-theta, low angle first:
Position (°2θ)  Rel. int.
21.71  26.0
22.87  65.2
31.74  100.0
34.49  41.1
35.25  20.3
41.79  26.6
48.75  27.7
53.95  28.6

```
11
Lattice="7.7776 0.0000 0.0000 -3.8888 6.7356 0.0000 0.0000 0.0000 4.0929" Properties=species:S:1:pos:R:3 pbc="T T T"
Li -1.0214 1.7692 0.0000
Li -3.0612 5.3022 2.0464
Li 0.8276 1.4334 2.0464
Li 2.0429 0.0000 0.0000
Li 2.8674 4.9664 0.0000
Li 6.1225 0.0000 2.0464
Ca 0.0000 4.4904 2.0464
Ca 3.8888 2.2452 2.0464
Pd -2.3246 4.0262 0.0000
Pd 1.5642 2.7094 0.0000
Pd 4.6491 0.0000 0.0000
```

***

# 8
Calculated powder diffractogram of Li14CaPd for CuKα, from a GGA-PBE-relaxed structure.
Neutral-atom scattering factors, no anomalous dispersion.

Most intense lines, 15 to 90 degrees two-theta, low angle first:
Position (°2θ)  Rel. int.
15.53  45.8
17.15  20.3
18.00  100.0
19.39  27.5
23.89  32.1
35.93  46.4
39.40  33.8
44.62  22.6

```
16
Lattice="9.8352 0.0000 0.0000 0.0000 2.9002 5.7052 0.0000 -2.9002 5.7052" Properties=species:S:1:pos:R:3 pbc="T T T"
Li 0.0000 0.0000 0.0000
Li 0.0000 0.0000 5.3496
Li 0.0000 -1.4522 8.3374
Li 0.0000 1.4522 8.3374
Li 2.1653 0.0000 9.6875
Li 2.4704 -1.5040 6.6465
Li 2.4704 1.5040 6.6465
Li 2.8534 0.0000 3.5843
Li 4.9176 -1.4951 5.1767
Li 4.9176 1.4951 5.1767
Li 6.9819 0.0000 3.5843
Li 7.3648 -1.5040 6.6465
Li 7.3648 1.5040 6.6465
Li 7.6699 0.0000 9.6875
Ca 4.9176 0.0000 8.0285
Pd 4.9176 0.0000 1.7620
```

***

# 9
Calculated powder diffractogram of Li7Ca3Pd4 for CuKα, from a GGA-PBE-relaxed structure.
Neutral-atom scattering factors, no anomalous dispersion.

Most intense lines, 15 to 90 degrees two-theta, low angle first:
Position (°2θ)  Rel. int.
21.89  100.0
26.50  99.5
26.94  58.8
27.60  47.4
28.49  58.5
33.87  42.7
35.25  60.2
41.78  59.6

```
14
Lattice="7.9537 -2.1241 0.0000 7.9537 2.1241 0.0000 -6.1097 0.0000 8.1222" Properties=species:S:1:pos:R:3 pbc="T T T"
Li 0.0000 0.0000 0.0000
Li -3.0056 0.0000 7.4928
Li 2.1110 0.0000 3.9746
Li 6.4438 0.0000 1.7125
Li 3.3539 0.0000 6.4097
Li 7.6867 0.0000 4.1476
Li 12.8033 0.0000 0.6294
Ca -3.0548 0.0000 4.0611
Ca 0.0286 0.0000 6.3555
Ca 9.7691 0.0000 1.7667
Pd -0.2303 0.0000 2.6014
Pd 3.8787 0.0000 1.9852
Pd 5.9190 0.0000 6.1370
Pd 10.0280 0.0000 5.5208
```

***

# 10
Calculated powder diffractogram of Li9CaPd2 for CuKα, from a GGA-PBE-relaxed structure.
Neutral-atom scattering factors, no anomalous dispersion.

Most intense lines, 15 to 90 degrees two-theta, low angle first:
Position (°2θ)  Rel. int.
21.70  100.0
22.57  37.9
29.57  55.0
31.51  43.5
32.13  33.1
42.46  15.4
44.23  45.6
45.62  14.9

```
24
Lattice="-5.5719 5.5719 3.5949 5.5719 -5.5719 3.5949 5.5719 5.5719 -3.5949" Properties=species:S:1:pos:R:3 pbc="T T T"
Li 3.3643 1.4269 -0.3867
Li 7.7794 1.4269 -0.3867
Li 4.2129 6.1502 -2.1842
Li 1.3590 0.5784 1.4107
Li 3.3643 4.1449 -0.3867
Li 2.2076 -1.4269 3.2081
Li 4.2129 0.5784 2.1842
Li 6.9308 0.5784 2.1842
Li 5.5719 2.7859 0.8987
Li 0.0000 2.7859 2.6961
Li -1.3590 4.9935 1.4107
Li 1.3590 4.9935 1.4107
Li 3.3643 6.9988 0.3867
Li 2.2076 1.4269 3.9816
Li 4.2129 4.9935 2.1842
Li 1.3590 -0.5784 5.7790
Li -2.2076 4.1449 3.9816
Li 2.2076 4.1449 3.9816
Ca 5.5719 -2.7859 2.6961
Ca 0.0000 8.3578 0.8987
Pd 5.5719 0.0000 0.0000
Pd -2.7859 2.7859 1.7974
Pd 0.0000 0.0000 3.5949
Pd 2.7859 2.7859 1.7974
```

***

# 11
Calculated powder diffractogram of LiCa3Pd for CuKα, from a GGA-PBE-relaxed structure.
Neutral-atom scattering factors, no anomalous dispersion.

Most intense lines, 15 to 90 degrees two-theta, low angle first:
Position (°2θ)  Rel. int.
17.82  47.2
24.44  43.7
28.40  85.8
30.71  44.4
31.28  100.0
33.09  74.7
35.32  69.3
37.35  46.2

```
10
Lattice="8.6620 0.0000 0.0000 0.0000 4.0510 0.0000 -3.2590 0.0000 8.3723" Properties=species:S:1:pos:R:3 pbc="T T T"
Li 0.2148 1.0128 0.7759
Li 5.1881 3.0383 7.5964
Ca -1.3051 1.0128 5.9767
Ca 1.3482 1.0128 3.6833
Ca 3.0280 3.0383 0.8224
Ca 2.3749 1.0128 7.5499
Ca 4.0547 3.0383 4.6890
Ca 6.7080 3.0383 2.3956
Pd 0.9840 3.0383 5.8878
Pd 4.4190 1.0128 2.4845
```

***

# 12
Calculated powder diffractogram of LiCaSc2Pd4 for CuKα, from a GGA-PBE-relaxed structure.
Neutral-atom scattering factors, no anomalous dispersion.

Most intense lines, 15 to 90 degrees two-theta, low angle first:
Position (°2θ)  Rel. int.
26.92  68.8
37.93  91.0
38.94  100.0
47.98  14.5
55.49  29.0
63.44  12.7
69.86  28.2
70.53  16.2

```
8
Lattice="2.3127 1.3352 7.8492 -2.3127 1.3352 7.8492 0.0000 -2.6704 7.8492" Properties=species:S:1:pos:R:3 pbc="T T T"
Li 0.0000 0.0000 0.0000
Ca 0.0000 0.0000 11.7738
Sc 0.0000 0.0000 6.0884
Sc 0.0000 0.0000 17.4591
Pd 0.0000 0.0000 2.6635
Pd 0.0000 0.0000 8.7924
Pd 0.0000 0.0000 14.7552
Pd 0.0000 0.0000 20.8840
```